# Li4V3O8
Simulated powder diffraction line list, Cu Kα X-rays. Input: a DFT-relaxed cell (GGA+U, Alexandria).
Intensities are scaled so that the largest is 100.

Peak list (8 most intense, 15 to 90 degrees two-theta, low angle first)
- 17.3°, intensity 100
- 18.4°, intensity 21
- 21.0°, intensity 11
- 35.9°, intensity 29
- 42.7°, intensity 58
- 55.3°, intensity 12
- 60.3°, intensity 16
- 63.6°, intensity 17

Atomic structure:
Unit cell a=6.1499 b=6.1499 c=10.1475 alpha=105.99 beta=105.99 gamma=56.81
Element x y z (fractional)
Li: 0.0324 0.5421 0.4292
Li: 0.2395 0.7605 0.5000
Li: 0.2972 0.7813 0.1822
Li: 0.3302 0.8180 0.8596
Li: 0.5421 0.0324 0.9292
Li: 0.7605 0.2395 0.0000
Li: 0.7813 0.2972 0.6822
Li: 0.8180 0.3302 0.3596
V: 0.0333 0.5413 0.9320
V: 0.2835 0.2987 0.6789
V: 0.2987 0.2835 0.1789
V: 0.5413 0.0333 0.4320
V: 0.7767 0.7919 0.6813
V: 0.7919 0.7767 0.1813
O: 0.1325 0.6479 0.7980
O: 0.1339 0.6490 0.2889
O: 0.1751 0.2049 0.8086
O: 0.2049 0.1751 0.3086
O: 0.3895 0.3937 0.5596
O: 0.3937 0.3895 0.0596
O: 0.4232 0.9424 0.5625
O: 0.4524 0.9180 0.0706
O: 0.6479 0.1325 0.2980
O: 0.6490 0.1339 0.7889
O: 0.6707 0.6928 0.3092
O: 0.6928 0.6707 0.8092
O: 0.8661 0.9193 0.5461
O: 0.9180 0.4524 0.5706
O: 0.9193 0.8661 0.0461
O: 0.9424 0.4232 0.0625